# UH3
Computed powder diffractogram, CuKα. Input: a GGA-PBE-relaxed structure.
Peak positions follow from Bragg's law for the DFT cell and can differ from measured ones.

Principal peaks in the range 2θ = 10–80°, in order of rising 2θ:
2theta	I (rel.)	h k l
30.64	100	1 1 0
43.89	20	2 0 0
54.48	42	2 1 1
63.81	13	2 2 0
72.44	19	3 1 0

Structural model:
```
data_UH3
_chemical_formula_sum 'U2 H6'
_space_group_name_H-M_alt 'P m -3 n'
_space_group_IT_number 223
_space_group_name_Hall '-P 4n 2 3'
_cell_length_a 4.1259
_cell_length_b 4.1259
_cell_length_c 4.1259
_cell_angle_alpha 90.00
_cell_angle_beta 90.00
_cell_angle_gamma 90.00
loop_
_atom_site_label
_atom_site_type_symbol
_atom_site_fract_x
_atom_site_fract_y
_atom_site_fract_z
_atom_site_occupancy
U1 U 0.0000 0.0000 0.0000 1
H1 H 0.0000 0.2500 0.5000 1
```